Diffraction record for Pm4Ga. The X-ray powder pattern is computed, not measured: it uses DFT lattice parameters and positions (PBE) and Cu Kα X-rays.
Lines closer than 0.1° are merged.

Cell and atoms:
a = 3.6256 Å, b = 3.6256 Å, c = 23.3949 Å
α = 90.00°, β = 90.00°, γ = 90.00°
Element x y z (fractional)
Pm 0.0000 0.0000 0.0800
Pm 0.0000 0.0000 0.3053
Pm 0.0000 0.0000 0.6947
Pm 0.0000 0.0000 0.9200
Pm 0.5000 0.5000 0.1947
Pm 0.5000 0.5000 0.4200
Pm 0.5000 0.5000 0.5800
Pm 0.5000 0.5000 0.8053
Ga 0.0000 0.0000 0.5000
Ga 0.5000 0.5000 0.0000

Most intense lines, 2θ from 10° to 80°, by angle:
d [Å]  2theta  Rel. int.  index
3.288  27.12  16  1 0 3
2.924  30.57  11  0 0 8
2.866  31.21  100  1 0 5
2.564  35.00  45  1 1 0
2.339  38.48  8  0 0 10
1.928  47.14  13  1 1 8
1.813  50.33  16  2 0 0
1.728  52.99  12  1 1 10
1.612  57.14  12  1 0 13
1.532  60.42  30  2 1 5
1.433  65.10  8  2 0 10
1.205  79.58  10  2 1 13